Structure and calculated powder X-ray diffraction pattern of Rb4B2S5 (a structure optimized by DFT (GGA-PBE); Cu Kα (λ = 1.5418 Å)).

Cell and atoms:
Unit cell a=11.285 b=7.348 c=8.596 alpha=90.00 beta=97.81 gamma=90.00
Space group Cm (No. 8)
Asymmetric unit:
Rb 0.000 0.000 0.000
Rb 0.041 0.500 0.717
Rb 0.192 0.000 0.526
Rb 0.240 0.500 0.213
B 0.310 0.000 0.945
B 0.448 0.000 0.289
S 0.248 0.218 0.884
S 0.448 0.219 0.384
S 0.465 0.000 0.069

Principal peaks in the range 10 to 80 degrees two-theta, by angle:
17.16 deg, rel. 34; 18.43 deg, rel. 38; 24.22 deg, rel. 41; 24.53 deg, rel. 80; 26.35 deg, rel. 66; 27.60 deg, rel. 100; 31.71 deg, rel. 86; 32.03 deg, rel. 37; 33.40 deg, rel. 49; 37.43 deg, rel. 32

---

Structure and calculated powder X-ray diffraction pattern of La4Pm2YHo2 (a structure optimized by DFT (GGA-PBE); Cu Kα (λ = 1.5418 Å)).

Cell and atoms:
Unit cell a=15.576 b=5.202 c=8.125 alpha=90.00 beta=108.64 gamma=90.00
Space group C2/m (No. 12)
Asymmetric unit:
La 0.054 0.000 0.330
La 0.224 0.500 0.331
Pm 0.112 0.500 0.670
Y 0.000 0.500 0.000
Ho 0.168 0.000 0.000

Principal peaks in the range 10 to 80 degrees two-theta, by angle:
29.90 deg, rel. 100; 34.52 deg, rel. 34; 34.96 deg, rel. 17; 49.62 deg, rel. 12; 49.95 deg, rel. 24; 59.02 deg, rel. 29; 59.61 deg, rel. 14; 62.13 deg, rel. 12; 72.71 deg, rel. 2; 72.87 deg, rel. 2

---

Structure and calculated powder X-ray diffraction pattern of YPa2S6 (a structure optimized by DFT (GGA-PBE); Cu Kα (λ = 1.5418 Å)).

Cell and atoms:
Unit cell a=17.283 b=4.066 c=8.027 alpha=90.00 beta=102.08 gamma=90.00
Space group C2/m (No. 12)
Asymmetric unit:
Y 0.000 0.000 0.000
Pa 0.165 0.500 0.325
S 0.011 0.500 0.235
S 0.163 0.000 0.106
S 0.175 0.000 0.554

Principal peaks in the range 10 to 80 degrees two-theta, by angle:
13.70 deg, rel. 100; 25.72 deg, rel. 36; 25.96 deg, rel. 18; 27.02 deg, rel. 20; 31.32 deg, rel. 44; 31.77 deg, rel. 21; 34.56 deg, rel. 14; 41.34 deg, rel. 16; 44.82 deg, rel. 16; 45.61 deg, rel. 14

---

Structure and calculated powder X-ray diffraction pattern of Cs3Mg2HgCl9 (a structure optimized by DFT (GGA-PBE); Cu Kα (λ = 1.5418 Å)).

Cell and atoms:
Unit cell a=7.3721 b=7.3721 c=9.0655 alpha=90.00 beta=90.00 gamma=120.00
Space group P-3m1 (No. 164)
Asymmetric unit:
Cs 0.0000 0.0000 0.0000
Cs 0.3333 0.6667 0.6639
Mg 0.3333 0.6667 0.1566
Hg 0.0000 0.0000 0.5000
Cl 0.0000 0.5000 0.0000
Cl 0.1724 0.3448 0.3248

Principal peaks in the range 10 to 80 degrees two-theta, by angle:
13.87 deg, rel. 15; 24.11 deg, rel. 100; 29.67 deg, rel. 26; 34.36 deg, rel. 65; 42.32 deg, rel. 13; 42.45 deg, rel. 34; 49.31 deg, rel. 22; 49.45 deg, rel. 21; 55.68 deg, rel. 23; 67.12 deg, rel. 13

---

Structure and calculated powder X-ray diffraction pattern of Nd6Sm12Y (a structure optimized by DFT (GGA-PBE); Cu Kα (λ = 1.5418 Å)).

Cell and atoms:
Unit cell a=15.7504 b=15.7504 c=9.6341 alpha=90.00 beta=90.00 gamma=120.00
Space group R-3m (No. 166, hexagonal axes)
Asymmetric unit:
Nd 0.0344 0.5172 0.1869
Sm 0.0000 0.3938 0.5000
Sm 0.0675 0.1351 0.3136
Y 0.0000 0.0000 0.0000

Principal peaks in the range 10 to 80 degrees two-theta, by angle:
25.29 deg, rel. 31; 30.04 deg, rel. 100; 34.17 deg, rel. 36; 36.07 deg, rel. 35; 37.90 deg, rel. 25; 47.63 deg, rel. 18; 50.54 deg, rel. 15; 58.61 deg, rel. 22; 61.17 deg, rel. 18; 73.12 deg, rel. 15

---

Structure and calculated powder X-ray diffraction pattern of SmHoGaAu (a structure optimized by DFT (GGA-PBE); Cu Kα (λ = 1.5418 Å)).

Cell and atoms:
Unit cell a=4.535 b=3.832 c=11.300 alpha=90.00 beta=90.00 gamma=90.00
Space group Amm2 (No. 38)
Asymmetric unit:
Sm 0.000 0.000 0.000
Ho 0.500 0.000 0.286
Ga 0.500 0.000 0.567
Au 0.000 0.000 0.726

Principal peaks in the range 10 to 80 degrees two-theta, by angle:
15.69 deg, rel. 13; 31.60 deg, rel. 100; 33.36 deg, rel. 21; 37.51 deg, rel. 23; 38.97 deg, rel. 48; 39.75 deg, rel. 23; 47.46 deg, rel. 14; 52.84 deg, rel. 12; 63.58 deg, rel. 12; 76.60 deg, rel. 13

---

Structure and calculated powder X-ray diffraction pattern of Er3Ga4Ni8 (a structure optimized by DFT (GGA-PBE); Cu Kα (λ = 1.5418 Å)).

Cell and atoms:
Unit cell a=12.108 b=12.108 c=12.108 alpha=90.00 beta=90.00 gamma=90.00
Space group Fm-3m (No. 225)
Asymmetric unit:
Er 0.000 0.000 0.230
Ga 0.000 0.000 0.000
Ga 0.000 0.000 0.500
Ga 0.000 0.250 0.250
Ni 0.125 0.125 0.375
Ni 0.174 0.174 0.174

Principal peaks in the range 10 to 80 degrees two-theta, by angle:
25.48 deg, rel. 13; 29.51 deg, rel. 21; 33.09 deg, rel. 15; 36.35 deg, rel. 12; 38.64 deg, rel. 26; 42.22 deg, rel. 100; 44.92 deg, rel. 10; 61.24 deg, rel. 9; 69.43 deg, rel. 11; 77.19 deg, rel. 25

---

Structure and calculated powder X-ray diffraction pattern of Tm7OsSe5 (a structure optimized by DFT (GGA-PBE); Cu Kα (λ = 1.5418 Å)).

Cell and atoms:
Unit cell a=13.284 b=3.927 c=24.073 alpha=90.00 beta=90.01 gamma=90.00
Space group Cm (No. 8)
Asymmetric unit:
Tm 0.000 0.000 0.000
Tm 0.000 0.000 0.427
Tm 0.066 0.500 0.147
Tm 0.068 0.500 0.279
Tm 0.155 0.000 0.780
Tm 0.156 0.000 0.647
Tm 0.222 0.500 0.500
Tm 0.222 0.500 0.927
Tm 0.261 0.000 0.094
Tm 0.264 0.000 0.336
Tm 0.321 0.500 0.214
Tm 0.400 0.500 0.714
Tm 0.460 0.000 0.594
Tm 0.460 0.000 0.834
Os 0.047 0.500 0.713
Os 0.175 0.000 0.212
Se 0.082 0.000 0.536
Se 0.082 0.000 0.892
Se 0.140 0.500 0.391
Se 0.141 0.500 0.035
Se 0.306 0.500 0.605
Se 0.306 0.500 0.822
Se 0.361 0.000 0.464
Se 0.361 0.000 0.963
Se 0.416 0.500 0.105
Se 0.418 0.500 0.322

Principal peaks in the range 10 to 80 degrees two-theta, by angle:
27.92 deg, rel. 21; 29.24 deg, rel. 61; 30.66 deg, rel. 32; 31.34 deg, rel. 100; 32.45 deg, rel. 45; 32.66 deg, rel. 33; 41.40 deg, rel. 57; 45.07 deg, rel. 29; 45.31 deg, rel. 25; 46.23 deg, rel. 34

---

Structure and calculated powder X-ray diffraction pattern of AcLuHgIr (a structure optimized by DFT (GGA-PBE); Cu Kα (λ = 1.5418 Å)).

Cell and atoms:
Unit cell a=7.398 b=7.398 c=7.398 alpha=90.00 beta=90.00 gamma=90.00
Space group F-43m (No. 216)
Asymmetric unit:
Ac 0.000 0.000 0.000
Lu 0.000 0.000 0.500
Hg 0.250 0.250 0.750
Ir 0.250 0.250 0.250

Principal peaks in the range 10 to 80 degrees two-theta, by angle:
20.80 deg, rel. 1; 34.29 deg, rel. 100; 40.44 deg, rel. 1; 49.27 deg, rel. 18; 61.40 deg, rel. 38; 72.25 deg, rel. 12

---

Structure and calculated powder X-ray diffraction pattern of Zn2CdCl (a structure optimized by DFT (GGA-PBE); Cu Kα (λ = 1.5418 Å)).

Cell and atoms:
Unit cell a=4.918 b=3.795 c=5.154 alpha=90.00 beta=108.72 gamma=90.00
Space group Pm (No. 6)
Asymmetric unit:
Zn 0.000 0.000 0.000
Zn 0.283 0.500 0.848
Cd 0.472 0.000 0.535
Cl 0.765 0.500 0.263

Principal peaks in the range 10 to 80 degrees two-theta, by angle:
19.06 deg, rel. 12; 30.48 deg, rel. 54; 32.18 deg, rel. 100; 38.81 deg, rel. 10; 44.11 deg, rel. 34; 44.31 deg, rel. 22; 45.71 deg, rel. 34; 47.94 deg, rel. 16; 53.37 deg, rel. 11; 57.88 deg, rel. 16

---

Structure and calculated powder X-ray diffraction pattern of TbTm2Si3Pt4 (a structure optimized by DFT (GGA-PBE); Cu Kα (λ = 1.5418 Å)).

Cell and atoms:
Unit cell a=4.134 b=4.134 c=11.124 alpha=90.00 beta=90.00 gamma=90.00
Space group P-4m2 (No. 115)
Asymmetric unit:
Tb 0.000 0.000 0.000
Tm 0.000 0.500 0.722
Si 0.000 0.500 0.377
Si 0.500 0.500 0.000
Pt 0.000 0.000 0.500
Pt 0.000 0.500 0.166
Pt 0.500 0.500 0.500

Principal peaks in the range 10 to 80 degrees two-theta, by angle:
26.87 deg, rel. 28; 32.43 deg, rel. 14; 34.66 deg, rel. 100; 39.03 deg, rel. 20; 43.79 deg, rel. 41; 44.99 deg, rel. 13; 46.35 deg, rel. 14; 60.09 deg, rel. 11; 63.66 deg, rel. 14; 74.56 deg, rel. 22

---

Structure and calculated powder X-ray diffraction pattern of LiCd3Au5 (a structure optimized by DFT (GGA-PBE); Cu Kα (λ = 1.5418 Å)).

Cell and atoms:
Unit cell a=8.2928 b=8.2928 c=5.7743 alpha=90.00 beta=90.00 gamma=120.00
Space group P6_3/mcm (No. 193)
Asymmetric unit:
Li 0.0000 0.0000 0.0000
Cd 0.0000 0.3498 0.2500
Au 0.0000 0.3097 0.7500
Au 0.3333 0.6667 0.0000

Principal peaks in the range 10 to 80 degrees two-theta, by angle:
12.32 deg, rel. 21; 24.79 deg, rel. 10; 26.46 deg, rel. 12; 37.57 deg, rel. 100; 37.98 deg, rel. 87; 49.46 deg, rel. 13; 54.49 deg, rel. 29; 67.80 deg, rel. 15; 68.07 deg, rel. 28; 77.16 deg, rel. 25